[1]
Simulated X-ray diffraction stick pattern of Mn3CdI9 for λ = 1.5418 Å (Cu Kα), from the PBE geometry in Alexandria.
Peak positions follow from Bragg's law for the DFT cell and can differ from measured ones.

```
Mn3CdI9
1.0
11.0138 -4.8344 0.0000
11.0138 4.8344 0.0000
-10.7808 0.0000 11.0969
Mn Cd I
6 2 18
Direct
0.1367 0.8633 0.5000 Mn
0.4529 0.8826 0.8910 Mn
0.6357 0.9630 0.3932 Mn
0.8633 0.1367 0.0000 Mn
0.8826 0.4529 0.3910 Mn
0.9630 0.6357 0.8932 Mn
0.2038 0.3559 0.1514 Cd
0.3559 0.2038 0.6514 Cd
0.0346 0.8146 0.8998 I
0.0540 0.6531 0.1072 I
0.0721 0.3466 0.7354 I
0.1587 0.9253 0.7114 I
0.1615 0.4628 0.5698 I
0.2762 0.5348 0.4056 I
0.2932 0.9285 0.4800 I
0.3466 0.0721 0.2354 I
0.4628 0.1615 0.0698 I
0.5009 0.7082 0.9627 I
0.5348 0.2762 0.9056 I
0.6335 0.7640 0.7802 I
0.6531 0.0540 0.6072 I
0.7082 0.5009 0.4627 I
0.7640 0.6335 0.2802 I
0.8146 0.0346 0.3998 I
0.9253 0.1587 0.2114 I
0.9285 0.2932 0.9800 I
```

Largest 10 diffraction maxima, by angle, 2θ = 10–90°:
2theta  d (Å)  I_rel
15.6  5.680  18
15.7  5.644  16
19.2  4.625  13
25.4  3.505  37
25.6  3.478  100
25.9  3.439  61
35.9  2.499  16
36.7  2.446  16
44.7  2.026  17
44.9  2.017  13

---

[2]
Simulated X-ray diffraction stick pattern of Sm5Dy12Er for λ = 1.5418 Å (Cu Kα), from the PBE geometry in Alexandria.
Peak positions follow from Bragg's law for the DFT cell and can differ from measured ones.

```
Sm5Dy12Er
1.0
5.9022 -8.5458 0.0000
5.9022 8.5458 0.0000
-0.0006 0.0000 5.7125
Sm Dy Er
5 12 1
Direct
0.0000 0.0000 0.0000 Sm
0.1378 0.8622 0.5000 Sm
0.3642 0.6358 0.0000 Sm
0.6358 0.3642 0.0000 Sm
0.8622 0.1378 0.5000 Sm
0.0271 0.6674 0.9999 Dy
0.1674 0.5253 0.5002 Dy
0.2019 0.2019 0.4990 Dy
0.3008 0.3008 0.9991 Dy
0.3326 0.9729 0.0001 Dy
0.4747 0.8326 0.4998 Dy
0.5253 0.1674 0.5002 Dy
0.6674 0.0271 0.9999 Dy
0.6992 0.6992 0.0009 Dy
0.7981 0.7981 0.5010 Dy
0.8326 0.4747 0.4998 Dy
0.9729 0.3326 0.0001 Dy
0.5000 0.5000 0.5000 Er
```

Largest 10 diffraction maxima, by angle, 2θ = 10–90°:
2theta  d (Å)  I_rel
31.4  2.853  54
31.4  2.847  14
31.8  2.817  100
32.1  2.789  8
44.9  2.017  16
56.0  1.641  22
56.1  1.638  9
56.8  1.620  12
62.8  1.480  8
63.6  1.462  9

---

[3]
Simulated X-ray diffraction stick pattern of Cs2SmAuO4 for λ = 1.5418 Å (Cu Kα), from the PBE geometry in Alexandria.
Peak positions follow from Bragg's law for the DFT cell and can differ from measured ones.

```
Cs2SmAuO4
1.0
0.0000 7.4057 11.9015
3.1644 0.0000 11.9015
3.1644 7.4057 0.0000
Cs Sm Au O
4 2 2 8
Direct
0.0607 0.0607 0.6893 Cs
0.3107 0.3107 0.9393 Cs
0.6893 0.6893 0.0607 Cs
0.9393 0.9393 0.3107 Cs
0.1250 0.1250 0.1250 Sm
0.8750 0.8750 0.8750 Sm
0.3750 0.3750 0.3750 Au
0.6250 0.6250 0.6250 Au
0.0436 0.7015 0.5103 O
0.2445 0.5103 0.7015 O
0.2985 0.9564 0.7555 O
0.4897 0.7555 0.9564 O
0.5103 0.2445 0.0436 O
0.7015 0.0436 0.2445 O
0.7555 0.4897 0.2985 O
0.9564 0.2985 0.4897 O
```

Largest 10 diffraction maxima, by angle, 2θ = 10–90°:
2theta  d (Å)  I_rel
14.1  6.288  34
14.9  5.951  72
18.9  4.693  44
24.0  3.703  43
25.5  3.497  100
30.7  2.910  52
34.3  2.614  23
36.3  2.474  22
44.0  2.057  40
46.7  1.946  25